Calculated powder diffractogram of Hf2ZrNi2As4Pt2 for a wavelength of 1.5418 Å, from DFT lattice parameters and positions (PBE).

Atomic structure:
Cell: 6.536 3.888 7.486 Å, 90.00 90.22 90.00°
Space group Pm (No. 6)
Asymmetric unit:
Hf 0.000 0.000 0.000 [1 per cell]
Hf 0.444 0.500 0.501 [1 per cell]
Zr 0.516 0.000 0.129 [1 per cell]
Ni 0.359 0.500 0.865 [1 per cell]
Ni 0.600 0.000 0.758 [1 per cell]
As 0.225 0.000 0.712 [1 per cell]
As 0.227 0.500 0.167 [1 per cell]
As 0.729 0.500 0.902 [1 per cell]
As 0.746 0.000 0.468 [1 per cell]
Pt 0.139 0.000 0.389 [1 per cell]
Pt 0.814 0.500 0.254 [1 per cell]

Main lines, by angle (2θ from 5° to 70°):
(0 0 1), 11.82 deg, rel. 43; (1 0 -1), 18.01 deg, rel. 45; (2 1 0), 35.92 deg, rel. 61; (1 1 2), 36.07 deg, rel. 83; (2 1 -1), 37.90 deg, rel. 100; (1 0 -3), 38.57 deg, rel. 35; (0 1 3), 43.08 deg, rel. 53; (0 2 0), 46.73 deg, rel. 46

Calculated powder diffractogram of HfZr2Ni2As4Pt2 for a wavelength of 1.5418 Å, from DFT lattice parameters and positions (PBE).

Atomic structure:
Cell: 6.571 3.898 7.497 Å, 90.00 90.41 90.00°
Space group Pm (No. 6)
Asymmetric unit:
Hf 0.000 0.000 0.000 [1 per cell]
Zr 0.070 0.500 0.629 [1 per cell]
Zr 0.555 0.500 0.496 [1 per cell]
Ni 0.155 0.500 0.256 [1 per cell]
Ni 0.913 0.000 0.364 [1 per cell]
As 0.279 0.000 0.403 [1 per cell]
As 0.302 0.500 0.967 [1 per cell]
As 0.781 0.000 0.667 [1 per cell]
As 0.783 0.500 0.209 [1 per cell]
Pt 0.366 0.000 0.756 [1 per cell]
Pt 0.695 0.500 0.888 [1 per cell]

Main lines, by angle (2θ from 5° to 70°):
(0 0 1), 11.81 deg, rel. 75; (1 1 1), 29.22 deg, rel. 38; (2 1 0), 35.75 deg, rel. 58; (1 1 2), 36.01 deg, rel. 100; (2 1 -1), 37.71 deg, rel. 95; (1 0 -3), 38.45 deg, rel. 40; (0 1 3), 42.99 deg, rel. 78; (0 2 0), 46.60 deg, rel. 57

Calculated powder diffractogram of Hf4Ni2SbAs for a wavelength of 1.5418 Å, from DFT lattice parameters and positions (PBE).

Atomic structure:
Cell: 5.418 3.728 7.693 Å, 90.00 109.57 90.00°
Space group Pm (No. 6)
Asymmetric unit:
Hf 0.000 0.000 0.000 [1 per cell]
Hf 0.042 0.500 0.624 [1 per cell]
Hf 0.523 0.000 0.500 [1 per cell]
Hf 0.606 0.500 0.170 [1 per cell]
Ni 0.680 0.500 0.774 [1 per cell]
Ni 0.939 0.000 0.367 [1 per cell]
Sb 0.426 0.000 0.862 [1 per cell]
As 0.167 0.500 0.281 [1 per cell]

Main lines, by angle (2θ from 5° to 70°):
(1 1 -1), 29.80 deg, rel. 23; (0 1 2), 34.48 deg, rel. 100; (2 0 0), 35.16 deg, rel. 20; (1 0 -3), 35.38 deg, rel. 20; (2 0 -2), 35.59 deg, rel. 26; (2 1 -2), 43.31 deg, rel. 22; (1 0 3), 46.67 deg, rel. 20; (0 2 0), 48.86 deg, rel. 20

Calculated powder diffractogram of Hf3Ni4Sb2As2 for a wavelength of 1.5418 Å, from DFT lattice parameters and positions (PBE).

Atomic structure:
Cell: 6.003 6.003 11.466 Å, 90.00 90.00 90.00°
Space group I-42m (No. 121)
Asymmetric unit:
Hf 0.000 0.000 0.000 [2 per cell]
Hf 0.000 0.500 0.250 [4 per cell]
Ni 0.243 0.243 0.878 [8 per cell]
Sb 0.000 0.000 0.265 [4 per cell]
As 0.000 0.500 0.000 [4 per cell]

Main lines, by angle (2θ from 5° to 70°):
(1 0 1), 16.67 deg, rel. 22; (1 1 2), 26.12 deg, rel. 25; (2 0 0), 29.76 deg, rel. 46; (0 0 4), 31.20 deg, rel. 19; (2 2 0), 42.59 deg, rel. 55; (2 0 4), 43.66 deg, rel. 100; (2 2 4), 53.74 deg, rel. 17; (4 0 0), 61.81 deg, rel. 18

Calculated powder diffractogram of HfZr2Ni4As4 for a wavelength of 1.5418 Å, from DFT lattice parameters and positions (PBE).

Atomic structure:
Cell: 6.442 3.823 7.270 Å, 90.00 90.32 90.00°
Space group Pm (No. 6)
Asymmetric unit:
Hf 0.000 0.000 0.000 [1 per cell]
Zr 0.052 0.500 0.625 [1 per cell]
Zr 0.510 0.000 0.136 [1 per cell]
Ni 0.168 0.500 0.252 [1 per cell]
Ni 0.386 0.000 0.756 [1 per cell]
Ni 0.681 0.500 0.872 [1 per cell]
Ni 0.911 0.000 0.372 [1 per cell]
As 0.294 0.000 0.440 [1 per cell]
As 0.296 0.500 0.937 [1 per cell]
As 0.753 0.000 0.683 [1 per cell]
As 0.792 0.500 0.210 [1 per cell]

Main lines, by angle (2θ from 5° to 70°):
(0 0 1), 12.18 deg, rel. 68; (1 0 0), 13.75 deg, rel. 55; (2 1 0), 36.48 deg, rel. 57; (1 1 2), 36.92 deg, rel. 78; (2 1 -1), 38.54 deg, rel. 96; (2 1 1), 38.64 deg, rel. 100; (0 1 3), 44.27 deg, rel. 92; (0 2 0), 47.57 deg, rel. 80

Calculated powder diffractogram of HfZrNiAs for a wavelength of 1.5418 Å, from DFT lattice parameters and positions (PBE).

Atomic structure:
Cell: 5.294 3.709 7.603 Å, 90.00 110.00 90.00°
Space group P2_1/m (No. 11)
Asymmetric unit:
Hf 0.231 0.250 0.433 [2 per cell]
Zr 0.291 0.750 0.079 [2 per cell]
Ni 0.358 0.750 0.697 [2 per cell]
As 0.137 0.250 0.789 [2 per cell]

Main lines, by angle (2θ from 5° to 70°):
(0 0 1), 12.39 deg, rel. 43; (1 1 -1), 30.08 deg, rel. 50; (0 1 2), 34.87 deg, rel. 100; (1 1 1), 34.97 deg, rel. 93; (2 0 0), 36.11 deg, rel. 43; (2 0 -2), 36.27 deg, rel. 44; (2 1 -2), 43.96 deg, rel. 48; (1 0 3), 47.64 deg, rel. 41

Calculated powder diffractogram of HfZr2Ni4As4 for a wavelength of 1.5418 Å, from DFT lattice parameters and positions (PBE).

Atomic structure:
Cell: 6.432 3.825 7.279 Å, 90.00 90.31 90.00°
Space group Pm (No. 6)
Asymmetric unit:
Hf 0.000 0.000 0.000 [1 per cell]
Zr 0.490 0.000 0.863 [1 per cell]
Zr 0.542 0.500 0.488 [1 per cell]
Ni 0.167 0.500 0.736 [1 per cell]
Ni 0.400 0.000 0.238 [1 per cell]
Ni 0.661 0.500 0.118 [1 per cell]
Ni 0.878 0.000 0.621 [1 per cell]
As 0.242 0.000 0.545 [1 per cell]
As 0.278 0.500 0.075 [1 per cell]
As 0.786 0.000 0.303 [1 per cell]
As 0.790 0.500 0.802 [1 per cell]

Main lines, by angle (2θ from 5° to 70°):
(0 0 1), 12.16 deg, rel. 29; (1 0 1), 18.41 deg, rel. 25; (2 1 0), 36.50 deg, rel. 27; (1 1 -2), 36.79 deg, rel. 26; (1 1 2), 36.90 deg, rel. 41; (2 1 1), 38.62 deg, rel. 100; (0 1 3), 44.21 deg, rel. 41; (0 2 0), 47.55 deg, rel. 40

Calculated powder diffractogram of HfZr2Ni4As4 for a wavelength of 1.5418 Å, from DFT lattice parameters and positions (PBE).

Atomic structure:
Cell: 6.449 3.821 7.264 Å, 90.00 90.16 90.00°
Space group Pm (No. 6)
Asymmetric unit:
Hf 0.000 0.000 0.000 [1 per cell]
Zr 0.457 0.500 0.513 [1 per cell]
Zr 0.949 0.500 0.375 [1 per cell]
Ni 0.116 0.000 0.634 [1 per cell]
Ni 0.333 0.500 0.132 [1 per cell]
Ni 0.627 0.000 0.247 [1 per cell]
Ni 0.860 0.500 0.754 [1 per cell]
As 0.241 0.500 0.818 [1 per cell]
As 0.247 0.000 0.312 [1 per cell]
As 0.703 0.500 0.057 [1 per cell]
As 0.739 0.000 0.588 [1 per cell]

Main lines, by angle (2θ from 5° to 70°):
(1 0 0), 13.73 deg, rel. 28; (1 0 -1), 18.39 deg, rel. 27; (1 1 2), 36.89 deg, rel. 66; (2 1 1), 38.58 deg, rel. 100; (1 0 -3), 39.76 deg, rel. 25; (0 1 3), 44.30 deg, rel. 50; (1 1 -3), 46.57 deg, rel. 23; (0 2 0), 47.59 deg, rel. 39

Calculated powder diffractogram of HfAsPO for a wavelength of 1.5418 Å, from DFT lattice parameters and positions (PBE).

Atomic structure:
Cell: 3.581 3.581 9.764 Å, 90.00 90.00 90.00°
Space group P4/nmm (No. 129, origin choice 2)
Asymmetric unit:
Hf 0.250 0.250 0.126 [2 per cell]
As 0.250 0.750 0.500 [2 per cell]
P 0.250 0.250 0.743 [2 per cell]
O 0.250 0.750 0.000 [2 per cell]

Main lines, by angle (2θ from 5° to 70°):
(0 0 1), 9.06 deg, rel. 48; (1 0 1), 26.51 deg, rel. 40; (0 0 3), 27.40 deg, rel. 36; (1 0 2), 30.97 deg, rel. 100; (1 1 1), 36.67 deg, rel. 67; (1 0 3), 37.34 deg, rel. 44; (2 0 0), 51.01 deg, rel. 34; (1 1 4), 52.04 deg, rel. 42

Calculated powder diffractogram of Hf4As3P for a wavelength of 1.5418 Å, from DFT lattice parameters and positions (PBE).

Atomic structure:
Cell: 3.7547 3.7547 12.7026 Å, 90.00 90.00 120.00°
Space group P-3m1 (No. 164)
Asymmetric unit:
Hf 0.3333 0.6667 0.1197 [2 per cell]
Hf 0.3333 0.6667 0.3912 [2 per cell]
As 0.0000 0.0000 0.0000 [1 per cell]
As 0.3333 0.6667 0.7463 [2 per cell]
P 0.0000 0.0000 0.5000 [1 per cell]

Main lines, by angle (2θ from 5° to 70°):
(1 0 0), 27.43 deg, rel. 23; (0 0 4), 28.10 deg, rel. 12; (0 1 1), 28.33 deg, rel. 30; (0 1 3), 34.79 deg, rel. 100; (1 0 4), 39.67 deg, rel. 24; (1 0 5), 45.30 deg, rel. 18; (1 1 0), 48.49 deg, rel. 44; (2 0 3), 61.05 deg, rel. 20